This entry pairs a crystal structure of PSe4I with its calculated XRD peak list. Radiation: Cu Kα, 1.54184 Å. Structure: a DFT-relaxed cell (GGA-PBE, Alexandria).

Main lines, by intensity (2θ = 10–90°):
2theta, I_rel, index
23.43, 100, 3 1 -1
20.15, 54, 1 1 -1
18.65, 49, 3 1 0
46.45, 48, 8 2 0
25.14, 47, 2 2 0
43.53, 31, 2 2 2
33.93, 31, 5 1 1
41.37, 30, 6 0 -2
33.35, 30, 0 0 2
26.50, 28, 3 1 1
35.35, 26, 1 3 0
36.35, 26, 2 0 2

Crystal structure
```
data_PSe4I
_chemical_formula_sum 'P4 Se16 I4'
_cell_length_a 18.3892
_cell_length_b 7.6920
_cell_length_c 5.4318
_cell_angle_alpha 90.00
_cell_angle_beta 98.89
_cell_angle_gamma 90.00
_space_group_name_H-M_alt 'C 1 2/c 1'
_space_group_IT_number 15
_space_group_name_Hall '-C 2yc'
loop_
_atom_site_label
_atom_site_fract_x
_atom_site_fract_y
_atom_site_fract_z
_atom_site_occupancy
P1 0.2500 0.2500 0.0000 1
Se1 0.1224 0.1912 0.1172 1
Se2 0.1802 0.4838 0.2271 1
I1 0.0000 0.2246 0.7500 1
```

=====

This entry pairs a crystal structure of P3Se4I with its calculated XRD peak list. Radiation: Cu Kα, 1.54184 Å. Structure: a DFT-relaxed cell (GGA-PBE, Alexandria).

Main lines, by intensity (2θ = 10–90°):
2theta, I_rel, index
24.79, 100, 0 2 0
28.51, 83, 2 1 2
15.70, 52, 2 0 -2
27.47, 50, 1 1 -4
29.89, 43, 0 1 4
25.24, 40, 3 1 -2
20.49, 35, 2 1 0
18.30, 35, 0 1 2
31.71, 33, 4 0 -4
14.05, 32, 0 1 1
47.27, 29, 6 1 -2
20.01, 24, 2 1 -2

Crystal structure
```
data_P3Se4I
_chemical_formula_sum 'P12 Se16 I4'
_cell_length_a 12.2220
_cell_length_b 7.1827
_cell_length_c 14.7803
_cell_angle_alpha 90.00
_cell_angle_beta 117.21
_cell_angle_gamma 90.00
_space_group_name_H-M_alt 'P 1 21/c 1'
_space_group_IT_number 14
_space_group_name_Hall '-P 2ybc'
loop_
_atom_site_label
_atom_site_fract_x
_atom_site_fract_y
_atom_site_fract_z
_atom_site_occupancy
P1 0.1829 0.1271 0.0129 1
P2 0.2094 0.6736 0.5467 1
P3 0.3096 0.6183 0.3680 1
Se1 0.0416 0.7423 0.3948 1
Se2 0.1312 0.7310 0.7799 1
Se3 0.2479 0.1713 0.8921 1
Se4 0.3743 0.7486 0.0253 1
I1 0.3571 0.2461 0.1774 1
```

=====

This entry pairs a crystal structure of P4Se3I2 with its calculated XRD peak list. Radiation: Cu Kα, 1.54184 Å. Structure: a DFT-relaxed cell (GGA-PBE, Alexandria).

Main lines, by intensity (2θ = 10–90°):
2theta, I_rel, index
25.87, 100, 3 0 3
25.71, 90, 3 2 1
14.04, 78, 1 1 2
16.59, 54, 1 0 3
24.53, 54, 2 0 4
35.95, 40, 5 1 0
21.71, 38, 2 1 3
19.71, 35, 2 2 0
30.03, 32, 3 1 4
41.12, 32, 5 2 3
46.41, 31, 5 3 4
51.76, 25, 6 4 0

Crystal structure
```
data_P4Se3I2
_chemical_formula_sum 'P32 Se24 I16'
_cell_length_a 12.7394
_cell_length_b 12.7394
_cell_length_c 17.6631
_cell_angle_alpha 90.00
_cell_angle_beta 90.00
_cell_angle_gamma 90.00
_space_group_name_H-M_alt 'I -4 2 d'
_space_group_IT_number 122
_space_group_name_Hall 'I -4 2bw'
loop_
_atom_site_label
_atom_site_fract_x
_atom_site_fract_y
_atom_site_fract_z
_atom_site_occupancy
P1 0.0133 0.1323 0.2365 1
P2 0.1079 0.1172 0.8441 1
Se1 0.0000 0.0000 0.3212 1
Se2 0.0724 0.6326 0.3997 1
I1 0.1615 0.2327 0.4884 1
```

=====

This entry pairs a crystal structure of TcP2I8 with its calculated XRD peak list. Radiation: Cu Kα, 1.54184 Å. Structure: a DFT-relaxed cell (GGA-PBE, Alexandria).

Main lines, by intensity (2θ = 10–90°):
2theta, I_rel, index
22.97, 100, 1 1 -1
27.31, 75, 1 -2 0
31.43, 56, 2 1 1
10.10, 50, 0 0 1
28.73, 45, 0 1 3
33.78, 39, -2 1 1
24.49, 38, 1 0 2
24.29, 27, 0 2 2
17.53, 23, 1 0 1
45.05, 20, 1 0 -4
26.02, 19, 1 2 0
33.17, 18, 0 3 0

Crystal structure
```
data_TcP2I8
_chemical_formula_sum 'Tc1 P2 I8'
_cell_length_a 5.9514
_cell_length_b 8.6525
_cell_length_c 9.3602
_cell_angle_alpha 69.69
_cell_angle_beta 84.95
_cell_angle_gamma 85.40
_space_group_name_H-M_alt 'P -1'
_space_group_IT_number 2
_space_group_name_Hall '-P 1'
loop_
_atom_site_label
_atom_site_fract_x
_atom_site_fract_y
_atom_site_fract_z
_atom_site_occupancy
Tc1 0.0000 0.0000 0.0000 1
P1 0.2447 0.1972 0.8391 1
I1 0.0826 0.1154 0.2276 1
I2 0.1413 0.4964 0.7952 1
I3 0.3581 0.7686 0.0621 1
I4 0.3769 0.2020 0.5807 1
```

=====

This entry pairs a crystal structure of Te2PI with its calculated XRD peak list. Radiation: Cu Kα, 1.54184 Å. Structure: a DFT-relaxed cell (GGA-PBE, Alexandria).

Main lines, by intensity (2θ = 10–90°):
2theta, I_rel, index
25.15, 100, 1 0 1
36.56, 52, 0 1 8
25.80, 49, 0 1 2
43.92, 44, 1 1 0
41.85, 40, 1 0 10
53.90, 36, 1 1 9
29.67, 31, 0 0 9
29.97, 16, 0 1 5
78.71, 16, 1 1 18
51.28, 14, 0 2 1
58.43, 13, 2 0 8
79.30, 12, 2 1 10

Crystal structure
```
data_Te2PI
_chemical_formula_sum 'Te6 P3 I3'
_cell_length_a 4.1235
_cell_length_b 4.1235
_cell_length_c 27.0968
_cell_angle_alpha 90.00
_cell_angle_beta 90.00
_cell_angle_gamma 120.00
_space_group_name_H-M_alt 'R -3 m'
_space_group_IT_number 166
_space_group_name_Hall '-R 3 2"'
loop_
_atom_site_label
_atom_site_fract_x
_atom_site_fract_y
_atom_site_fract_z
_atom_site_occupancy
Te1 0.0000 0.0000 0.1098 1
P1 0.0000 0.0000 0.5000 1
I1 0.0000 0.0000 0.0000 1
```

=====

This entry pairs a crystal structure of TiP2I with its calculated XRD peak list. Radiation: Cu Kα, 1.54184 Å. Structure: a DFT-relaxed cell (GGA-PBE, Alexandria).

Main lines, by intensity (2θ = 10–90°):
2theta, I_rel, index
25.25, 100, 1 1 2
41.16, 36, 2 0 4
50.62, 26, 3 1 2
47.14, 17, 1 1 6
30.12, 17, 2 0 0
34.49, 17, 2 1 1
25.42, 16, 1 0 3
43.11, 13, 2 2 0
65.78, 12, 3 1 6
51.84, 10, 2 2 4
16.41, 9, 1 0 1
27.39, 7, 0 0 4

Crystal structure
```
data_TiP2I
_chemical_formula_sum 'Ti4 P8 I4'
_cell_length_a 5.9345
_cell_length_b 5.9345
_cell_length_c 13.0236
_cell_angle_alpha 90.00
_cell_angle_beta 90.00
_cell_angle_gamma 90.00
_space_group_name_H-M_alt 'I -4 2 d'
_space_group_IT_number 122
_space_group_name_Hall 'I -4 2bw'
loop_
_atom_site_label
_atom_site_fract_x
_atom_site_fract_y
_atom_site_fract_z
_atom_site_occupancy
Ti1 0.0000 0.0000 0.0000 1
P1 0.1460 0.2500 0.1250 1
I1 0.0000 0.0000 0.5000 1
```

=====

This entry pairs a crystal structure of TlPI5 with its calculated XRD peak list. Radiation: Cu Kα, 1.54184 Å. Structure: a DFT-relaxed cell (GGA-PBE, Alexandria).

Main lines, by intensity (2θ = 10–90°):
2theta, I_rel, index
26.64, 100, 2 -1 2
28.60, 86, 2 -2 0
32.05, 58, 2 2 0
19.88, 57, 0 2 1
20.63, 45, 0 1 2
27.51, 45, 2 2 2
25.48, 37, 2 1 0
12.21, 36, 0 1 1
10.69, 34, 0 0 1
21.46, 34, 0 0 2
43.56, 32, 0 3 -2
40.39, 28, 0 4 2

Crystal structure
```
data_TlPI5
_chemical_formula_sum 'Tl2 P2 I10'
_cell_length_a 9.0687
_cell_length_b 9.1482
_cell_length_c 9.8012
_cell_angle_alpha 72.36
_cell_angle_beta 62.98
_cell_angle_gamma 87.54
_space_group_name_H-M_alt 'P -1'
_space_group_IT_number 2
_space_group_name_Hall '-P 1'
loop_
_atom_site_label
_atom_site_fract_x
_atom_site_fract_y
_atom_site_fract_z
_atom_site_occupancy
Tl1 0.0000 0.0000 0.0000 1
Tl2 0.5000 0.0000 0.0000 1
P1 0.1045 0.4084 0.2421 1
I1 0.1943 0.6986 0.5958 1
I2 0.2274 0.3095 0.0012 1
I3 0.2365 0.2807 0.4129 1
I4 0.2503 0.7248 0.1228 1
I5 0.3994 0.1413 0.6891 1
```

=====

This entry pairs a crystal structure of P2WI with its calculated XRD peak list. Radiation: Cu Kα, 1.54184 Å. Structure: a DFT-relaxed cell (GGA-PBE, Alexandria).

Main lines, by intensity (2θ = 10–90°):
2theta, I_rel, index
25.69, 100, 1 1 2
47.63, 37, 3 1 2
27.58, 31, 2 0 0
44.10, 29, 2 0 4
39.40, 17, 2 2 0
52.81, 12, 2 2 4
55.63, 12, 1 1 6
70.28, 12, 3 1 6
16.04, 11, 1 0 1
77.32, 9, 5 1 2
74.71, 9, 4 2 4
64.41, 8, 4 2 0

Crystal structure
```
data_P2WI
_chemical_formula_sum 'P8 W4 I4'
_cell_length_a 6.4690
_cell_length_b 6.4690
_cell_length_c 10.6311
_cell_angle_alpha 90.00
_cell_angle_beta 90.00
_cell_angle_gamma 90.00
_space_group_name_H-M_alt 'I -4 2 d'
_space_group_IT_number 122
_space_group_name_Hall 'I -4 2bw'
loop_
_atom_site_label
_atom_site_fract_x
_atom_site_fract_y
_atom_site_fract_z
_atom_site_occupancy
P1 0.1465 0.2500 0.1250 1
W1 0.0000 0.0000 0.0000 1
I1 0.0000 0.0000 0.5000 1
```